Entry 1:
K4CO4: calculated X-ray powder pattern (CuKα), based on DFT lattice parameters and positions (GGA-PBE).
Peak positions follow from Bragg's law for the DFT cell and can differ from measured ones.

Crystal structure
Cell: 7.489 7.489 5.484 Å, 90.00 90.00 90.00°
Space group I-4 (No. 82)
Unique sites:
K (0.123, 0.271, 0.434) [8 per cell]
C (0.000, 0.000, 0.000) [2 per cell]
O (0.039, 0.152, 0.851) [8 per cell]

Main lines, sorted by position (15° ≤ 2θ ≤ 90°):
two_theta  I/Imax  index
16.7  15  1 1 0
31.3  100  2 1 1
36.9  24  1 1 2
38.0  40  1 3 0
39.7  15  3 0 1
40.8  22  2 0 2
46.8  22  2 3 1
51.0  14  1 3 2
64.5  11  5 0 1
65.3  11  2 4 2

---

Entry 2:
KCO2: calculated X-ray powder pattern (CuKα), based on DFT lattice parameters and positions (GGA-PBE).
Peak positions follow from Bragg's law for the DFT cell and can differ from measured ones.

Crystal structure
Cell: 6.212 11.090 3.504 Å, 90.00 90.00 90.00°
Space group Pbam (No. 55)
Unique sites:
K (0.096, 0.151, 0.000) [4 per cell]
C (0.069, 0.440, 0.500) [4 per cell]
O (0.035, 0.659, 0.500) [4 per cell]
O (0.228, 0.951, 0.500) [4 per cell]

Main lines, sorted by position (15° ≤ 2θ ≤ 90°):
two_theta  I/Imax  index
29.9  29  2 1 0
30.2  31  0 2 1
30.4  100  1 1 1
32.3  23  0 4 0
33.5  57  1 2 1
35.5  33  1 4 0
38.2  81  1 3 1
39.6  43  2 1 1
46.8  24  3 2 0
52.2  23  0 0 2

---

Entry 3:
K4CO4: calculated X-ray powder pattern (CuKα), based on DFT lattice parameters and positions (GGA-PBE).
Peak positions follow from Bragg's law for the DFT cell and can differ from measured ones.

Crystal structure
Cell: 5.412 5.412 5.412 Å, 90.00 90.00 90.00°
Space group P-43m (No. 215)
Unique sites:
K (0.219, 0.219, 0.781) [4 per cell]
C (0.500, 0.500, 0.500) [1 per cell]
O (0.345, 0.345, 0.345) [4 per cell]

Main lines, sorted by position (15° ≤ 2θ ≤ 90°):
two_theta  I/Imax  index
23.2  30  1 1 0
28.6  100  1 1 1
33.1  97  2 0 0
40.8  76  2 1 1
47.5  57  2 2 0
56.4  50  3 1 1
59.1  13  2 2 2
64.4  10  3 2 1
74.4  25  4 1 1
76.8  12  3 3 1

---

Entry 4:
K3SbPCO7: calculated X-ray powder pattern (CuKα), based on DFT lattice parameters and positions (GGA-PBE).
Peak positions follow from Bragg's law for the DFT cell and can differ from measured ones.

Crystal structure
Cell: 6.035 7.143 10.326 Å, 90.00 95.52 90.00°
Space group P2_1/m (No. 11)
Unique sites:
K (0.221, 0.001, 0.230) [4 per cell]
K (0.240, 0.250, 0.578) [2 per cell]
Sb (0.280, 0.750, 0.853) [2 per cell]
P (0.328, 0.250, 0.907) [2 per cell]
C (0.276, 0.750, 0.556) [2 per cell]
O (0.111, 0.750, 0.632) [2 per cell]
O (0.226, 0.250, 0.037) [2 per cell]
O (0.227, 0.750, 0.431) [2 per cell]
O (0.256, 0.075, 0.820) [4 per cell]
O (0.408, 0.750, 0.070) [2 per cell]
O (0.480, 0.750, 0.608) [2 per cell]

Main lines, sorted by position (15° ≤ 2θ ≤ 90°):
two_theta  I/Imax  index
15.1  38  0 1 1
16.4  56  1 0 -1
24.9  60  0 2 0
26.0  35  0 0 3
29.7  89  2 0 0
30.0  100  1 2 -1
30.5  39  0 2 2
30.8  43  1 2 1
43.4  36  0 2 4
51.1  37  0 4 0

---

Entry 5:
KSiPCO7: calculated X-ray powder pattern (CuKα), based on DFT lattice parameters and positions (GGA-PBE).
Peak positions follow from Bragg's law for the DFT cell and can differ from measured ones.

Crystal structure
Cell: 5.097 6.009 10.111 Å, 90.00 91.23 90.00°
Space group P2_1 (No. 4)
Unique sites:
K (0.249, 0.000, 0.290) [2 per cell]
Si (0.233, 0.090, 0.854) [2 per cell]
P (0.265, 0.593, 0.948) [2 per cell]
C (0.287, 0.124, 0.634) [2 per cell]
O (0.057, 0.593, 0.055) [2 per cell]
O (0.058, 0.102, 0.696) [2 per cell]
O (0.230, 0.392, 0.855) [2 per cell]
O (0.232, 0.793, 0.853) [2 per cell]
O (0.319, 0.166, 0.517) [2 per cell]
O (0.453, 0.090, 0.993) [2 per cell]
O (0.478, 0.103, 0.728) [2 per cell]

Main lines, sorted by position (15° ≤ 2θ ≤ 90°):
two_theta  I/Imax  index
17.2  52  0 1 1
19.7  32  1 0 1
22.9  66  1 1 0
24.4  44  1 1 -1
24.5  70  1 0 -2
24.7  51  1 1 1
25.1  36  1 0 2
29.2  52  1 1 2
29.7  100  0 2 0
40.2  36  0 2 3

---

Entry 6:
K2SmPCO7: calculated X-ray powder pattern (CuKα), based on DFT lattice parameters and positions (GGA-PBE).
Peak positions follow from Bragg's law for the DFT cell and can differ from measured ones.

Crystal structure
Cell: 5.829 7.274 10.036 Å, 90.00 92.55 90.00°
Space group P2_1/m (No. 11)
Unique sites:
K (0.246, 0.011, 0.216) [4 per cell]
Sm (0.219, 0.250, 0.627) [2 per cell]
P (0.291, 0.750, 0.572) [2 per cell]
C (0.270, 0.250, 0.909) [2 per cell]
O (0.064, 0.250, 0.849) [2 per cell]
O (0.169, 0.750, 0.429) [2 per cell]
O (0.221, 0.573, 0.646) [4 per cell]
O (0.303, 0.250, 0.034) [2 per cell]
O (0.443, 0.250, 0.443) [2 per cell]
O (0.443, 0.250, 0.826) [2 per cell]

Main lines, sorted by position (15° ≤ 2θ ≤ 90°):
two_theta  I/Imax  index
15.0  100  0 1 1
19.5  87  1 1 0
22.9  55  1 0 -2
23.9  72  1 0 2
24.5  42  0 2 0
26.0  44  0 2 1
30.1  60  1 2 -1
30.5  48  1 2 1
30.7  57  2 0 0
31.5  34  1 0 3

---

Entry 7:
K3SnPCO7: calculated X-ray powder pattern (CuKα), based on DFT lattice parameters and positions (GGA-PBE).
Peak positions follow from Bragg's law for the DFT cell and can differ from measured ones.

Crystal structure
Cell: 5.689 7.552 10.149 Å, 90.00 91.88 90.00°
Space group P2_1/m (No. 11)
Unique sites:
K (0.236, 0.250, 0.416) [2 per cell]
K (0.257, 0.502, 0.757) [4 per cell]
Sn (0.226, 0.750, 0.127) [2 per cell]
P (0.292, 0.250, 0.089) [2 per cell]
C (0.262, 0.750, 0.433) [2 per cell]
O (0.059, 0.750, 0.369) [2 per cell]
O (0.173, 0.250, 0.947) [2 per cell]
O (0.219, 0.082, 0.168) [4 per cell]
O (0.269, 0.750, 0.562) [2 per cell]
O (0.435, 0.750, 0.924) [2 per cell]
O (0.457, 0.750, 0.369) [2 per cell]

Main lines, sorted by position (15° ≤ 2θ ≤ 90°):
two_theta  I/Imax  index
21.1  21  0 1 2
23.6  55  0 2 0
29.5  100  1 2 -1
29.9  57  1 2 1
30.3  30  1 0 -3
31.2  38  1 0 3
31.5  60  2 0 0
38.7  26  2 1 2
43.0  45  0 2 4
48.2  35  0 4 0

---

Entry 8:
K2YPCO7: calculated X-ray powder pattern (CuKα), based on DFT lattice parameters and positions (GGA-PBE).
Peak positions follow from Bragg's law for the DFT cell and can differ from measured ones.

Crystal structure
Cell: 5.839 7.156 10.027 Å, 90.00 91.70 90.00°
Space group P2_1/m (No. 11)
Unique sites:
K (0.247, 0.012, 0.220) [4 per cell]
Y (0.217, 0.250, 0.631) [2 per cell]
P (0.289, 0.750, 0.569) [2 per cell]
C (0.271, 0.250, 0.905) [2 per cell]
O (0.067, 0.250, 0.845) [2 per cell]
O (0.154, 0.750, 0.432) [2 per cell]
O (0.228, 0.571, 0.647) [4 per cell]
O (0.301, 0.250, 0.030) [2 per cell]
O (0.445, 0.250, 0.822) [2 per cell]
O (0.448, 0.250, 0.457) [2 per cell]

Main lines, sorted by position (15° ≤ 2θ ≤ 90°):
two_theta  I/Imax  index
15.2  74  0 1 1
19.6  53  1 1 0
23.0  44  1 0 -2
23.7  68  1 0 2
24.9  31  0 2 0
30.5  78  1 2 -1
30.7  100  2 0 0
30.8  53  1 2 1
31.2  37  1 0 3
49.2  26  1 3 -3

---

Entry 9:
KZnPC2O6: calculated X-ray powder pattern (CuKα), based on DFT lattice parameters and positions (GGA-PBE).
Peak positions follow from Bragg's law for the DFT cell and can differ from measured ones.

Crystal structure
Cell: 10.706 12.332 5.218 Å, 90.00 90.00 90.00°
Space group Pna2_1 (No. 33)
Unique sites:
K (0.143, 0.243, 0.000) [4 per cell]
Zn (0.096, 0.882, 0.021) [4 per cell]
P (0.171, 0.014, 0.525) [4 per cell]
C (0.117, 0.669, 0.020) [4 per cell]
C (0.159, 0.551, 0.982) [4 per cell]
O (0.044, 0.690, 0.198) [4 per cell]
O (0.084, 0.477, 0.956) [4 per cell]
O (0.087, 0.109, 0.438) [4 per cell]
O (0.149, 0.907, 0.380) [4 per cell]
O (0.165, 0.741, 0.868) [4 per cell]
O (0.171, 0.001, 0.818) [4 per cell]

Main lines, sorted by position (15° ≤ 2θ ≤ 90°):
two_theta  I/Imax  index
18.5  20  0 1 1
23.8  100  2 0 1
26.0  20  3 1 0
27.4  20  2 3 0
27.6  36  0 3 1
27.9  26  2 2 1
28.9  24  1 3 1
33.5  39  4 0 0
34.4  31  0 0 2
48.3  19  5 2 1

---

Entry 10:
K2PdC4O12: calculated X-ray powder pattern (CuKα), based on DFT lattice parameters and positions (GGA-PBE).
Peak positions follow from Bragg's law for the DFT cell and can differ from measured ones.

Crystal structure
Cell: 4.651 13.397 10.637 Å, 90.00 104.34 90.00°
Space group P2_1/c (No. 14)
Unique sites:
K (0.239, 0.148, 0.005) [4 per cell]
Pd (0.500, 0.000, 0.500) [2 per cell]
C (0.347, 0.115, 0.692) [4 per cell]
C (0.422, 0.539, 0.735) [4 per cell]
O (0.220, 0.172, 0.753) [4 per cell]
O (0.221, 0.698, 0.139) [4 per cell]
O (0.227, 0.673, 0.252) [4 per cell]
O (0.306, 0.117, 0.567) [4 per cell]
O (0.321, 0.023, 0.307) [4 per cell]
O (0.341, 0.539, 0.614) [4 per cell]

Main lines, sorted by position (15° ≤ 2θ ≤ 90°):
two_theta  I/Imax  index
19.7  53  1 0 0
20.6  39  1 1 -1
21.7  76  0 3 1
23.8  92  1 2 0
24.4  30  1 1 1
28.0  100  1 3 -1
29.3  22  1 1 -3
32.9  42  0 3 3
48.6  24  0 3 5
54.4  27  0 6 4